For Y2ScMo, DFT lattice parameters and positions (PBE) gives the simulated powder XRD pattern in this record (Cu Ka).
Lines closer than 0.1° are merged.

Most intense lines, 10 to 80 degrees two-theta, in order of falling intensity:
- d = 2.728 Å, 2θ = 32.83°, intensity 100, hkl 1 0 4
- d = 2.329 Å, 2θ = 38.66°, intensity 57, hkl 0 1 8
- d = 1.683 Å, 2θ = 54.53°, intensity 23, hkl 1 1 0
- d = 2.583 Å, 2θ = 34.72°, intensity 21, hkl 0 0 12
- d = 1.410 Å, 2θ = 66.29°, intensity 18, hkl 1 1 12
- d = 1.432 Å, 2θ = 65.13°, intensity 13, hkl 0 2 4
- d = 2.435 Å, 2θ = 36.92°, intensity 12, hkl 1 0 7
- d = 2.026 Å, 2θ = 44.73°, intensity 11, hkl 0 1 11
- d = 1.614 Å, 2θ = 57.08°, intensity 11, hkl 1 0 16
- d = 1.364 Å, 2θ = 68.83°, intensity 10, hkl 2 0 8
- d = 1.305 Å, 2θ = 72.43°, intensity 8, hkl 1 1 15
- d = 1.424 Å, 2θ = 65.57°, intensity 6, hkl 1 0 19

Structural model:
```
data_Y2ScMo
_space_group_name_H-M_alt 'R -3 m'
_space_group_IT_number 166
_space_group_name_Hall '-R 3 2"'
_cell_length_a 3.3654
_cell_length_b 3.3654
_cell_length_c 31.0017
_cell_angle_alpha 90.00
_cell_angle_beta 90.00
_cell_angle_gamma 120.00
loop_
_atom_site_label
_atom_site_type_symbol
_atom_site_fract_x
_atom_site_fract_y
_atom_site_fract_z
Y1 Y 0.0000 0.0000 0.2401
Sc1 Sc 0.0000 0.0000 0.0000
Mo1 Mo 0.0000 0.0000 0.5000
```